[1]
Calculated powder XRD pattern of KSn2P3O12 for a wavelength of 1.5418 Å, from a cell relaxed with GGA-PBE.
Kinematic intensities with the Lorentz-polarization factor, no thermal factor.

Main lines, most intense first (2θ = 5–70°):
two_theta, I (rel.)
30.76, 100
20.91, 89
19.13, 48
23.73, 40
28.48, 34
36.63, 32
48.56, 31
62.34, 23

Cell and atoms:
```
KSn2P3O12
1.0
4.249 2.453 7.970
-4.249 2.453 7.970
0.000 -4.906 7.970
K Sn P O
2 4 6 24
Direct
0.000 0.000 0.000
0.500 0.500 0.500
0.149 0.149 0.149
0.346 0.346 0.346
0.654 0.654 0.654
0.851 0.851 0.851
0.040 0.460 0.749
0.251 0.960 0.540
0.460 0.749 0.040
0.540 0.251 0.960
0.749 0.040 0.460
0.960 0.540 0.251
0.020 0.619 0.776
0.106 0.881 0.735
0.119 0.265 0.894
0.151 0.527 0.216
0.185 0.471 0.545
0.216 0.151 0.527
0.224 0.980 0.381
0.265 0.894 0.119
0.381 0.224 0.980
0.455 0.815 0.529
0.471 0.545 0.185
0.473 0.784 0.849
0.527 0.216 0.151
0.529 0.455 0.815
0.545 0.185 0.471
0.619 0.776 0.020
0.735 0.106 0.881
0.776 0.020 0.619
0.784 0.849 0.473
0.815 0.529 0.455
0.849 0.473 0.784
0.881 0.735 0.106
0.894 0.119 0.265
0.980 0.381 0.224
```


[2]
Calculated powder XRD pattern of ZrTi2Ag2Te6 for a wavelength of 1.5418 Å, from a cell relaxed with GGA-PBE.
Kinematic intensities with the Lorentz-polarization factor, no thermal factor.

Main lines, most intense first (2θ = 5–70°):
two_theta, I (rel.)
29.95, 100
32.45, 47
42.44, 39
46.94, 23
38.92, 20
47.35, 20
28.00, 15
15.37, 13

Cell and atoms:
```
ZrTi2Ag2Te6
1.0
3.365 -5.853 0.000
3.365 5.853 0.000
-1.373 0.000 7.676
Zr Ti Ag Te
1 2 2 6
Direct
0.000 0.000 0.000
0.335 0.665 0.000
0.665 0.335 0.000
0.125 0.875 0.500
0.875 0.125 0.500
0.043 0.394 0.227
0.301 0.301 0.771
0.394 0.043 0.227
0.606 0.957 0.773
0.699 0.699 0.229
0.957 0.606 0.773
```


[3]
Calculated powder XRD pattern of NaLiGa2Si4O12 for a wavelength of 1.5418 Å, from a cell relaxed with GGA-PBE.
Kinematic intensities with the Lorentz-polarization factor, no thermal factor.

Main lines, most intense first (2θ = 5–70°):
two_theta, I (rel.)
29.67, 100
13.97, 70
30.98, 58
19.84, 36
36.77, 35
35.62, 35
35.20, 32
24.95, 23

Cell and atoms:
```
NaLiGa2Si4O12
1.0
4.857 -4.387 0.000
4.857 4.387 0.000
-1.761 0.000 5.042
Na Li Ga Si O
1 1 2 4 12
Direct
0.000 0.000 0.000
0.448 0.552 0.500
0.605 0.395 0.000
0.807 0.193 0.500
0.090 0.498 0.997
0.322 0.092 0.506
0.502 0.910 0.003
0.908 0.678 0.494
0.051 0.656 0.275
0.064 0.643 0.776
0.086 0.195 0.444
0.329 0.404 0.075
0.344 0.949 0.725
0.357 0.936 0.224
0.510 0.266 0.612
0.596 0.671 0.925
0.671 0.101 0.113
0.734 0.490 0.388
0.805 0.914 0.556
0.899 0.329 0.887
```


[4]
Calculated powder XRD pattern of Cd12In16Hg for a wavelength of 1.5418 Å, from a cell relaxed with GGA-PBE.
Kinematic intensities with the Lorentz-polarization factor, no thermal factor.

Main lines, most intense first (2θ = 5–70°):
two_theta, I (rel.)
33.40, 100
37.05, 31
40.41, 20
59.74, 14
31.44, 12
38.76, 12
59.65, 11
57.26, 7

Cell and atoms:
```
Cd12In16Hg
1.0
5.685 -8.062 0.000
5.685 8.062 0.000
-5.685 0.000 8.043
Cd In Hg
12 16 1
Direct
0.000 0.000 0.000
0.001 0.619 0.376
0.183 0.183 0.374
0.183 0.994 0.565
0.428 0.809 0.998
0.435 0.621 0.188
0.619 0.001 0.376
0.619 0.809 0.816
0.621 0.435 0.188
0.809 0.428 0.998
0.809 0.619 0.816
0.994 0.183 0.565
0.089 0.495 0.878
0.115 0.807 0.777
0.123 0.397 0.185
0.148 0.810 0.188
0.218 0.526 0.598
0.397 0.123 0.185
0.401 0.808 0.500
0.464 0.464 0.852
0.495 0.089 0.878
0.500 0.500 0.472
0.526 0.218 0.598
0.807 0.115 0.777
0.808 0.401 0.500
0.808 0.808 0.521
0.809 0.809 0.184
0.810 0.148 0.188
0.216 0.216 0.906
```


[5]
Calculated powder XRD pattern of Rb3SeO3 for a wavelength of 1.5418 Å, from a cell relaxed with GGA-PBE.
Kinematic intensities with the Lorentz-polarization factor, no thermal factor.

Main lines, most intense first (2θ = 5–70°):
two_theta, I (rel.)
28.58, 100
24.00, 44
30.86, 33
42.22, 31
53.20, 30
39.47, 23
51.78, 19
53.49, 18

Cell and atoms:
```
Rb3SeO3
1.0
4.285 -7.408 0.000
4.285 7.408 0.000
0.000 0.000 5.795
Rb Se O
6 2 6
Direct
0.179 0.821 0.750
0.180 0.360 0.750
0.360 0.180 0.250
0.640 0.820 0.750
0.820 0.640 0.250
0.821 0.179 0.250
0.333 0.667 0.250
0.667 0.333 0.750
0.203 0.797 0.250
0.204 0.408 0.250
0.408 0.204 0.750
0.592 0.796 0.250
0.796 0.592 0.750
0.797 0.203 0.750
```


[6]
Calculated powder XRD pattern of I2O3F6 for a wavelength of 1.5418 Å, from a cell relaxed with GGA-PBE.
Kinematic intensities with the Lorentz-polarization factor, no thermal factor.

Main lines, most intense first (2θ = 5–70°):
two_theta, I (rel.)
14.30, 100
18.75, 92
21.70, 81
21.97, 80
22.38, 79
23.32, 75
20.31, 69
20.16, 68

Cell and atoms:
```
I2O3F6
1.0
9.944 0.000 0.000
0.000 9.254 0.000
-4.417 0.000 8.371
I O F
8 12 24
Direct
0.068 0.239 0.432
0.068 0.261 0.932
0.317 0.582 0.157
0.317 0.918 0.657
0.683 0.082 0.343
0.683 0.418 0.843
0.932 0.739 0.068
0.932 0.761 0.568
0.071 0.236 0.619
0.071 0.264 0.119
0.151 0.605 0.188
0.151 0.895 0.688
0.236 0.046 0.491
0.236 0.454 0.991
0.764 0.546 0.009
0.764 0.954 0.509
0.849 0.105 0.312
0.849 0.395 0.812
0.929 0.736 0.881
0.929 0.764 0.381
0.059 0.594 0.650
0.059 0.906 0.150
0.238 0.136 0.996
0.238 0.364 0.496
0.272 0.742 0.021
0.272 0.758 0.521
0.400 0.062 0.814
0.400 0.438 0.314
0.426 0.713 0.322
0.426 0.787 0.822
0.498 0.073 0.352
0.498 0.427 0.852
0.502 0.573 0.148
0.502 0.927 0.648
0.574 0.213 0.178
0.574 0.287 0.678
0.600 0.562 0.686
0.600 0.938 0.186
0.728 0.242 0.479
0.728 0.258 0.979
0.762 0.636 0.504
0.762 0.864 0.004
0.941 0.094 0.850
0.941 0.406 0.350
```


[7]
Calculated powder XRD pattern of Ba8SbIr2 for a wavelength of 1.5418 Å, from a cell relaxed with GGA-PBE.
Kinematic intensities with the Lorentz-polarization factor, no thermal factor.

Main lines, most intense first (2θ = 5–70°):
two_theta, I (rel.)
24.29, 100
37.75, 78
40.43, 76
31.23, 55
21.53, 49
18.62, 48
21.74, 48
22.35, 33

Cell and atoms:
```
Ba8SbIr2
1.0
9.533 0.000 0.000
-4.767 8.256 0.000
0.000 0.000 7.954
Ba Sb Ir
8 1 2
Direct
0.170 0.341 0.246
0.170 0.830 0.246
0.333 0.667 0.742
0.341 0.170 0.754
0.659 0.830 0.246
0.667 0.333 0.258
0.830 0.170 0.754
0.830 0.659 0.754
0.000 0.000 0.500
0.333 0.667 0.384
0.667 0.333 0.616
```